Starting from DFT lattice parameters and positions (PBE), the X-ray diffraction stick pattern of TlCr2HgRh was simulated for Cu Kα, 1.54184 Å.
Peak positions follow from Bragg's law for the DFT cell and can differ from measured ones.

Structural model:
Cell: 5.067 5.067 5.392 Å, 90.00 90.00 90.00°
Fractional positions:
Tl (0.000, 0.000, 0.000)
Cr (0.000, 0.500, 0.500)
Cr (0.500, 0.000, 0.500)
Hg (0.000, 0.000, 0.500)
Rh (0.500, 0.500, 0.000)

Largest 10 diffraction maxima, in order of rising 2θ, 2θ from 10° to 90°:
- 2θ = 17.5°, rel. 100.0
- 2θ = 24.8°, rel. 82.3
- 2θ = 29.9°, rel. 30.7
- 2θ = 33.2°, rel. 47.8
- 2θ = 35.4°, rel. 80.4
- 2θ = 37.8°, rel. 31.2
- 2θ = 41.9°, rel. 43.1
- 2θ = 49.4°, rel. 62.3
- 2θ = 51.0°, rel. 28.3
- 2θ = 62.2°, rel. 30.8

Starting from DFT lattice parameters and positions (PBE), the X-ray diffraction stick pattern of TbSm2Mg8 was simulated for Cu Kα, 1.54184 Å.
Peak positions follow from Bragg's law for the DFT cell and can differ from measured ones.

Structural model:
Cell: 8.797 8.797 8.797 Å, 145.35 129.89 62.36°
Fractional positions:
Tb (0.000, 0.000, 0.000)
Sm (0.298, 0.298, 0.000)
Sm (0.702, 0.702, 0.000)
Mg (0.153, 0.859, 0.294)
Mg (0.157, 0.657, 0.500)
Mg (0.287, 0.500, 0.787)
Mg (0.435, 0.141, 0.294)
Mg (0.565, 0.859, 0.706)
Mg (0.713, 0.500, 0.213)
Mg (0.843, 0.343, 0.500)
Mg (0.847, 0.141, 0.706)

Largest 10 diffraction maxima, in order of rising 2θ, 2θ from 10° to 90°:
- 2θ = 20.7°, rel. 83.7
- 2θ = 21.3°, rel. 65.6
- 2θ = 23.9°, rel. 29.5
- 2θ = 24.6°, rel. 33.3
- 2θ = 31.6°, rel. 43.7
- 2θ = 34.2°, rel. 34.8
- 2θ = 34.5°, rel. 100.0
- 2θ = 40.2°, rel. 20.4
- 2θ = 40.7°, rel. 25.0
- 2θ = 61.5°, rel. 18.5